(1)
Computed PXRD pattern of GdTm for Cu Ka, from the PBE geometry in OQMD.
Neutral-atom scattering factors, no anomalous dispersion.

Most intense lines, 10° ≤ 2θ ≤ 90°, sorted by position:
2θ/deg, intensity, h k l
28.7, 240, 1 0 0
32.0, 240, 0 0 2
32.9, 1000, 1 0 1
43.5, 156, 1 0 2
50.8, 198, 1 1 0
57.6, 204, 1 0 3
61.3, 225, 1 1 2
61.9, 164, 2 0 1
69.0, 40, 2 0 2
80.3, 78, 2 0 3
84.1, 141, 2 1 1
88.6, 85, 1 1 4

Atomic structure:
a b c (Å): 3.5949 3.5949 5.5974
angles (deg): 90.00 90.00 120.00
Space group P-6m2 (No. 187)
Inequivalent atoms, fractional coordinates:
Gd 0.0000 0.0000 0.0000
Tm 0.6667 0.3333 0.5000

***

(2)
Computed PXRD pattern of Na5AuO3 for Cu Ka, from the PBE geometry in OQMD.
Neutral-atom scattering factors, no anomalous dispersion.

Most intense lines, 10° ≤ 2θ ≤ 90°, sorted by position:
2θ/deg, intensity, h k l
10.6, 595, 0 0 1
20.4, 1000, 1 0 0
23.0, 958, 1 0 1
29.0, 228, 1 1 0
29.6, 405, 1 0 2
31.0, 406, 1 1 1
36.2, 712, 1 1 2
38.4, 242, 1 0 3
41.5, 382, 2 0 0
46.7, 229, 2 1 0
48.0, 275, 2 1 1
48.3, 205, 1 0 4

Atomic structure:
a b c (Å): 4.353 4.353 8.357
angles (deg): 90.00 90.00 90.00
Space group P4/mmm (No. 123)
Inequivalent atoms, fractional coordinates:
Na 0.000 0.000 0.000
Na 0.000 0.500 0.213
Au 0.000 0.000 0.500
O 0.000 0.000 0.259
O 0.500 0.500 0.000